1.
Calculated powder diffractogram of Tm2Al9Ir3 for Cu Kα, from a crystal structure in Alexandria, relaxed with GGA-PBE.

Crystal structure
a = 13.0088 Å, b = 7.5812 Å, c = 9.4302 Å
α = 90.00°, β = 90.00°, γ = 90.00°
Space group Cmcm (No. 63)
Asymmetric unit:
Tm1 0.1618 0.1661 0.2500 (multiplicity 8)
Al1 0.0000 0.1287 0.7500 (multiplicity 4)
Al2 0.0000 0.3329 0.0529 (multiplicity 8)
Al3 0.1049 0.4448 0.7500 (multiplicity 8)
Al4 0.1673 0.1681 0.5755 (multiplicity 16)
Ir1 0.0000 0.0000 0.0000 (multiplicity 4)
Ir2 0.1723 0.5000 0.0000 (multiplicity 8)

Most intense lines, 2θ = 5–70°, by intensity:
| index | 2theta | I (rel.) |
| --- | --- | --- |
| 3 1 2 | 30.39 | 100 |
| 3 3 0 | 41.35 | 59 |
| 0 2 2 | 30.25 | 50 |
| 3 3 4 | 57.53 | 31 |
| 0 0 4 | 38.17 | 31 |
| 3 1 0 | 23.64 | 28 |
| 6 0 0 | 41.66 | 28 |
| 3 1 3 | 37.27 | 27 |
| 6 2 2 | 52.34 | 26 |
| 0 2 6 | 64.19 | 26 |
| 0 2 4 | 45.36 | 25 |
| 3 1 1 | 25.48 | 22 |

=====

2.
Calculated powder diffractogram of U2Al8Ir for Cu Kα, from a crystal structure in Alexandria, relaxed with GGA-PBE.

Crystal structure
a = 4.2796 Å, b = 4.2796 Å, c = 11.1509 Å
α = 90.00°, β = 90.00°, γ = 90.00°
Space group P4/mmm (No. 123)
Asymmetric unit:
U1 0.0000 0.0000 0.1893 (multiplicity 2)
Al1 0.0000 0.5000 0.0000 (multiplicity 2)
Al2 0.0000 0.5000 0.3766 (multiplicity 4)
Al3 0.5000 0.5000 0.1918 (multiplicity 2)
Ir1 0.0000 0.0000 0.5000 (multiplicity 1)

Most intense lines, 2θ = 5–70°, by intensity:
| index | 2theta | I (rel.) |
| --- | --- | --- |
| 1 0 0 | 20.76 | 100 |
| 1 1 3 | 38.36 | 76 |
| 1 0 3 | 31.89 | 63 |
| 1 1 0 | 29.52 | 35 |
| 2 0 0 | 42.23 | 35 |
| 2 1 3 | 53.88 | 30 |
| 0 0 3 | 23.94 | 28 |
| 2 1 0 | 47.51 | 24 |
| 2 0 3 | 49.13 | 17 |
| 2 0 6 | 66.70 | 15 |
| 2 2 0 | 61.26 | 12 |
| 1 0 6 | 53.77 | 10 |